No. 1
Diffraction record for NdSm7Tl4. The powder diffraction line list is computed, not measured: it uses a DFT-relaxed cell (PBE, Alexandria) and copper Kα.

Cell and atoms:
a b c (Å): 7.986 7.986 10.509
angles (deg): 120.43 120.43 42.99
Sites, in units of the cell vectors:
Nd (0.000, 0.000, 0.000)
Sm (0.062, 0.062, 0.396)
Sm (0.205, 0.205, 0.880)
Sm (0.275, 0.275, 0.337)
Sm (0.500, 0.500, 0.000)
Sm (0.725, 0.725, 0.663)
Sm (0.795, 0.795, 0.120)
Sm (0.938, 0.938, 0.604)
Tl (0.313, 0.313, 0.667)
Tl (0.442, 0.442, 0.253)
Tl (0.558, 0.558, 0.747)
Tl (0.687, 0.687, 0.333)

Top 8 peaks for 2θ from 10° to 80°, in order of rising 2θ:
| 2θ/deg | d_spacing | I/Imax |
| --- | --- | --- |
| 28.2 | 3.164 | 48 |
| 29.2 | 3.058 | 38 |
| 30.1 | 2.965 | 23 |
| 30.6 | 2.926 | 100 |
| 32.2 | 2.777 | 43 |
| 35.1 | 2.553 | 61 |
| 35.6 | 2.522 | 27 |
| 42.1 | 2.148 | 33 |

No. 2
Diffraction record for Pm3Sn2Pd6. The powder diffraction line list is computed, not measured: it uses a DFT-relaxed cell (PBE, Alexandria) and copper Kα.

Cell and atoms:
a b c (Å): 8.456 8.456 8.456
angles (deg): 109.47 109.47 109.47
Sites, in units of the cell vectors:
Pm (0.000, 0.288, 0.288)
Pm (0.000, 0.712, 0.712)
Pm (0.288, 0.000, 0.288)
Pm (0.288, 0.288, 0.000)
Pm (0.712, 0.000, 0.712)
Pm (0.712, 0.712, 0.000)
Sn (0.000, 0.000, 0.500)
Sn (0.000, 0.500, 0.000)
Sn (0.500, 0.000, 0.000)
Sn (0.500, 0.500, 0.500)
Pd (0.000, 0.341, 0.659)
Pd (0.000, 0.659, 0.341)
Pd (0.319, 0.659, 0.659)
Pd (0.341, 0.000, 0.659)
Pd (0.341, 0.341, 0.681)
Pd (0.341, 0.659, 0.000)
Pd (0.341, 0.681, 0.341)
Pd (0.659, 0.000, 0.341)
Pd (0.659, 0.319, 0.659)
Pd (0.659, 0.341, 0.000)
Pd (0.659, 0.659, 0.319)
Pd (0.681, 0.341, 0.341)

Top 8 peaks for 2θ from 10° to 80°, in order of rising 2θ:
| 2θ/deg | d_spacing | I/Imax |
| --- | --- | --- |
| 28.9 | 3.088 | 15 |
| 31.7 | 2.819 | 30 |
| 34.4 | 2.610 | 27 |
| 36.8 | 2.441 | 17 |
| 39.1 | 2.301 | 100 |
| 41.4 | 2.183 | 16 |
| 63.2 | 1.472 | 20 |
| 70.9 | 1.329 | 26 |